This entry pairs a crystal structure of HfTl2FeO6 with its theoretical powder diffraction line list. Radiation: Cu Kα, 1.54184 Å. Structure: a PBE+U-relaxed structure.
Intensities are scaled so that the largest is 100.

Structural model:
Unit cell a=5.6103 b=5.6103 c=14.4214 alpha=90.00 beta=90.00 gamma=120.00
Space group R3 (No. 146, hexagonal axes)
Inequivalent atoms, fractional coordinates:
Hf (0.0000, 0.0000, 0.0000) (multiplicity 3)
Tl (0.0000, 0.0000, 0.2573) (multiplicity 3)
Tl (0.0000, 0.0000, 0.7769) (multiplicity 3)
Fe (0.0000, 0.0000, 0.4987) (multiplicity 3)
O (0.0594, 0.3407, 0.0758) (multiplicity 9)
O (0.0914, 0.7504, 0.5716) (multiplicity 9)

Peak list (8 most intense, 5° ≤ 2θ ≤ 70°, in order of falling intensity)
2θ 30.88, intensity 100, (1 0 4); 2θ 31.90, intensity 93, (1 1 0); 2θ 45.00, intensity 45, (0 2 4); 2θ 56.21, intensity 39, (2 1 4); 2θ 56.85, intensity 24, (3 0 0); 2θ 19.28, intensity 18, (1 0 1); 2θ 54.28, intensity 17, (0 1 8); 2θ 22.06, intensity 16, (0 1 2)